No. 1
The following is a theoretical X-ray diffraction stick pattern of LiCrP2O7. It was derived from a GGA+U-relaxed structure, using Cu Kα X-rays.
Lines closer than 0.1° are merged.

Top 6 peaks for 15 to 90 degrees two-theta, by angle:
| (hkl) | d/Å | 2θ (°) | I_rel |
| --- | --- | --- | --- |
| 1 1 0 | 5.012 | 17.7 | 67 |
| 0 2 0 | 4.071 | 21.8 | 59 |
| 1 1 1 | 3.033 | 29.5 | 100 |
| 0 2 1 | 2.982 | 30.0 | 94 |
| 2 0 -1 | 2.918 | 30.6 | 89 |
| 1 3 2 | 1.576 | 58.6 | 33 |

Structure:
Unit cell a=6.541 b=8.141 c=4.504 alpha=90.00 beta=103.51 gamma=90.00
Space group C2 (No. 5)
Asymmetric unit:
Li 0.000 0.000 0.000 x2
Cr 0.000 0.372 0.000 x2
P 0.208 0.711 0.410 x4
O 0.000 0.782 0.500 x2
O 0.127 0.194 0.285 x4
O 0.168 0.545 0.257 x4
O 0.249 0.349 0.803 x4

No. 2
The following is a theoretical X-ray diffraction stick pattern of Li2Cr3P9O28. It was derived from a GGA+U-relaxed structure, using Cu Kα X-rays.
Lines closer than 0.1° are merged.

Top 6 peaks for 15 to 90 degrees two-theta, by angle:
| (hkl) | d/Å | 2θ (°) | I_rel |
| --- | --- | --- | --- |
| 1 1 -1 | 5.112 | 17.3 | 87 |
| -1 1 1 | 4.893 | 18.1 | 49 |
| 1 -2 1 | 3.855 | 23.1 | 50 |
| 0 2 -2 | 3.754 | 23.7 | 51 |
| 0 1 2 | 2.982 | 30.0 | 100 |
| 0 3 -2 | 2.881 | 31.0 | 29 |

Structure:
Unit cell a=7.071 b=9.043 c=9.230 alpha=111.65 beta=109.84 gamma=99.28
Space group P-1 (No. 2)
Asymmetric unit:
Li 0.205 0.457 0.222 x2
Cr 0.000 0.000 0.000 x1
Cr 0.257 0.513 0.757 x2
P 0.187 0.200 0.418 x2
P 0.193 0.746 0.553 x2
P 0.290 0.261 0.931 x2
P 0.344 0.821 0.105 x2
P 0.500 0.000 0.500 x1
O 0.039 0.857 0.576 x2
O 0.077 0.590 0.376 x2
O 0.089 0.159 0.920 x2
O 0.143 0.194 0.242 x2
O 0.213 0.637 0.973 x2
O 0.235 0.313 0.789 x2
O 0.269 0.954 0.066 x2
O 0.271 0.709 0.704 x2
O 0.279 0.064 0.454 x2
O 0.312 0.381 0.555 x2
O 0.381 0.836 0.291 x2
O 0.388 0.868 0.564 x2
O 0.422 0.408 0.115 x2
O 0.426 0.138 0.893 x2

No. 3
The following is a theoretical X-ray diffraction stick pattern of Li3CrP2O8. It was derived from a GGA+U-relaxed structure, using Cu Kα X-rays.
Lines closer than 0.1° are merged.

Top 6 peaks for 15 to 90 degrees two-theta, by angle:
| (hkl) | d/Å | 2θ (°) | I_rel |
| --- | --- | --- | --- |
| 1 1 -1 | 5.639 | 15.7 | 43 |
| 1 2 -1 | 4.064 | 21.9 | 100 |
| 0 0 2 | 4.029 | 22.1 | 45 |
| 2 0 0 | 3.882 | 22.9 | 47 |
| 0 4 0 | 2.538 | 35.4 | 44 |
| 2 0 2 | 2.432 | 37.0 | 51 |

Structure:
Unit cell a=8.197 b=10.151 c=8.506 alpha=90.00 beta=108.71 gamma=90.00
Space group P2_1 (No. 4)
Asymmetric unit:
Li 0.042 0.000 0.017 x2
Li 0.103 0.075 0.342 x2
Li 0.115 0.256 0.849 x2
Li 0.138 0.569 0.428 x2
Li 0.154 0.763 0.913 x2
Li 0.322 0.263 0.597 x2
Cr 0.374 0.773 0.621 x2
Cr 0.381 0.550 0.142 x2
P 0.212 0.009 0.721 x2
P 0.220 0.336 0.224 x2
P 0.287 0.510 0.807 x2
P 0.288 0.824 0.296 x2
O 0.075 0.314 0.057 x2
O 0.081 0.030 0.549 x2
O 0.148 0.567 0.882 x2
O 0.151 0.066 0.858 x2
O 0.177 0.756 0.393 x2
O 0.194 0.252 0.361 x2
O 0.216 0.957 0.228 x2
O 0.223 0.489 0.264 x2
O 0.242 0.369 0.746 x2
O 0.249 0.857 0.756 x2
O 0.298 0.596 0.658 x2
O 0.307 0.737 0.152 x2
O 0.383 0.075 0.710 x2
O 0.402 0.321 0.199 x2
O 0.459 0.525 0.952 x2
O 0.466 0.830 0.441 x2

No. 4
The following is a theoretical X-ray diffraction stick pattern of LiCrPO5. It was derived from a GGA+U-relaxed structure, using Cu Kα X-rays.
Lines closer than 0.1° are merged.

Top 6 peaks for 15 to 90 degrees two-theta, by angle:
| (hkl) | d/Å | 2θ (°) | I_rel |
| --- | --- | --- | --- |
| 0 1 1 | 5.164 | 17.2 | 38 |
| 1 1 0 | 5.014 | 17.7 | 100 |
| 1 1 -1 | 3.979 | 22.3 | 57 |
| 1 3 0 | 3.215 | 27.7 | 54 |
| 0 0 2 | 2.868 | 31.2 | 22 |
| 0 1 2 | 2.788 | 32.1 | 20 |

Structure:
Unit cell a=5.568 b=11.853 c=5.772 alpha=90.00 beta=96.38 gamma=90.00
Space group P2_1/c (No. 14)
Asymmetric unit:
Li 0.178 0.242 0.153 x4
Cr 0.182 0.581 0.571 x4
P 0.358 0.655 0.091 x4
O 0.125 0.083 0.026 x4
O 0.163 0.749 0.099 x4
O 0.265 0.569 0.893 x4
O 0.364 0.583 0.320 x4
O 0.392 0.199 0.437 x4

No. 5
The following is a theoretical X-ray diffraction stick pattern of Li2CrP3O10. It was derived from a GGA+U-relaxed structure, using Cu Kα X-rays.
Lines closer than 0.1° are merged.

Top 6 peaks for 15 to 90 degrees two-theta, by angle:
| (hkl) | d/Å | 2θ (°) | I_rel |
| --- | --- | --- | --- |
| 2 0 0 | 5.699 | 15.5 | 100 |
| 3 1 -1 | 3.941 | 22.6 | 98 |
| 0 0 2 | 3.828 | 23.2 | 81 |
| 2 2 -1 | 3.200 | 27.9 | 30 |
| 3 1 -3 | 2.907 | 30.8 | 59 |
| 4 2 -1 | 2.481 | 36.2 | 61 |

Structure:
Unit cell a=14.252 b=7.194 c=9.571 alpha=90.00 beta=126.89 gamma=90.00
Space group C2/c (No. 15)
Asymmetric unit:
Li 0.229 0.013 0.041 x8
Cr 0.000 0.164 0.250 x4
P 0.000 0.457 0.750 x4
P 0.118 0.185 0.684 x8
O 0.004 0.321 0.622 x8
O 0.091 0.125 0.510 x8
O 0.107 0.414 0.344 x8
O 0.114 0.019 0.783 x8
O 0.230 0.287 0.804 x8